The following is a calculated powder diffraction line list of NiN2F14. It was derived from a PBE+U-relaxed structure, using Cu Kα (λ = 1.5418 Å).

Largest 8 diffraction maxima, in order of rising 2θ, 10 to 90 degrees two-theta:
d/Å, 2θ (°), I_rel, index
5.540, 16.0, 100.0, 1 0 1
3.420, 26.1, 21.5, 2 0 0
3.379, 26.4, 39.7, 1 1 2
2.910, 30.7, 20.9, 1 2 1
2.861, 31.3, 11.7, 1 0 3
2.194, 41.1, 23.4, 1 2 3
2.163, 41.8, 17.2, 3 1 0
1.860, 49.0, 15.6, 3 2 1

Structure:
Cell lengths 6.839, 6.839, 9.449 Å; angles 90.00, 90.00, 90.00 degrees
Space group I4/m (No. 87)
One atom of each set of equivalent atoms:
Ni (0.000, 0.000, 0.000) (multiplicity 2)
N (0.000, 0.500, 0.250) (multiplicity 4)
F (0.000, 0.000, 0.191) (multiplicity 4)
F (0.078, 0.640, 0.332) (multiplicity 16)
F (0.133, 0.771, 0.000) (multiplicity 8)

=====

The following is a calculated powder diffraction line list of Ta2NiN6F12. It was derived from a PBE+U-relaxed structure, using Cu Kα (λ = 1.5418 Å).

Largest 8 diffraction maxima, in order of rising 2θ, 10 to 90 degrees two-theta:
d/Å, 2θ (°), I_rel, index
6.495, 13.6, 68.8, 2 0 0
4.593, 19.3, 100.0, 2 2 0
3.247, 27.5, 28.5, 4 0 0
2.905, 30.8, 22.6, 4 2 0
2.652, 33.8, 16.3, 4 2 2
2.054, 44.1, 33.7, 6 2 0
1.736, 52.7, 18.5, 6 4 2
1.531, 60.5, 15.3, 6 6 0

Structure:
Cell lengths 12.990, 12.990, 12.990 Å; angles 90.00, 90.00, 90.00 degrees
Space group Fm-3m (No. 225)
One atom of each set of equivalent atoms:
Ta (0.250, 0.250, 0.250) (multiplicity 8)
Ni (0.000, 0.000, 0.000) (multiplicity 4)
N (0.000, 0.000, 0.142) (multiplicity 24)
F (0.102, 0.250, 0.250) (multiplicity 48)